Computed powder X-ray diffraction pattern of Rb12Sn2Sb6O for copper Kα, from a structure optimized by DFT (PBE).
Intensities are scaled so that the largest is 100.

Main lines, by intensity (2θ from 10° to 90°):
- 28.3 deg, I 100
- 28.0 deg, I 31
- 43.2 deg, I 26
- 52.3 deg, I 25
- 49.7 deg, I 19
- 16.1 deg, I 18
- 52.5 deg, I 14
- 24.6 deg, I 12
- 28.4 deg, I 11
- 74.8 deg, I 8

Structural model:
```
Rb12Sn2Sb6O
1.0
12.557 0.000 0.000
-6.278 10.875 0.000
0.000 0.000 6.384
Rb Sn Sb O
12 2 6 1
Cartesian
-2.290 5.927 1.590 Rb
0.000 2.431 1.772 Rb
-4.173 9.659 1.772 Rb
2.105 1.216 4.612 Rb
2.290 5.927 1.590 Rb
0.000 9.894 1.590 Rb
6.278 0.980 4.794 Rb
3.988 4.947 4.794 Rb
4.173 9.659 1.772 Rb
10.452 1.216 4.612 Rb
6.278 8.444 4.612 Rb
8.569 4.947 4.794 Rb
0.000 7.250 4.808 Sn
6.278 3.625 1.576 Sn
0.000 4.490 4.857 Sb
-2.390 8.629 4.857 Sb
3.889 2.245 1.527 Sb
2.390 8.629 4.857 Sb
8.668 2.245 1.527 Sb
6.278 6.384 1.527 Sb
0.000 0.000 3.192 O
```



Computed powder X-ray diffraction pattern of NaPH4O5 for copper Kα, from a structure optimized by DFT (PBE).
Intensities are scaled so that the largest is 100.

Main lines, by intensity (2θ from 10° to 90°):
- 16.3 deg, I 100
- 28.1 deg, I 90
- 26.1 deg, I 90
- 28.7 deg, I 70
- 23.5 deg, I 48
- 33.3 deg, I 46
- 20.0 deg, I 40
- 25.9 deg, I 39
- 25.5 deg, I 34
- 34.9 deg, I 33

Structural model:
```
NaPH4O5
1.0
7.660 0.000 0.000
0.000 7.861 0.000
0.000 0.000 7.569
Na P H O
4 4 16 20
Cartesian
0.040 0.125 0.000 Na
3.790 4.056 3.784 Na
3.870 3.805 0.000 Na
7.620 7.736 3.784 Na
0.919 2.985 2.017 P
2.911 6.915 5.802 P
4.749 0.946 2.017 P
6.741 4.877 5.802 P
0.403 3.142 7.457 H
1.475 5.754 1.749 H
1.646 5.202 6.525 H
1.710 3.225 5.660 H
2.119 7.156 1.876 H
2.183 1.271 2.741 H
2.355 1.823 5.534 H
3.427 7.073 3.673 H
4.233 0.789 7.457 H
5.305 6.038 1.749 H
5.476 6.590 6.525 H
5.540 0.705 5.660 H
5.949 4.636 1.876 H
6.013 2.659 2.741 H
6.185 2.108 5.534 H
7.257 4.719 3.673 H
0.371 4.302 6.421 O
0.547 2.397 0.579 O
1.247 1.676 2.851 O
1.248 6.716 1.752 O
1.750 0.017 5.734 O
2.080 3.948 1.950 O
2.582 2.786 5.536 O
2.583 5.607 6.635 O
3.283 6.328 4.363 O
3.459 0.371 2.637 O
4.201 7.490 6.421 O
4.377 1.534 0.579 O
5.077 2.254 2.851 O
5.078 5.076 1.752 O
5.580 3.913 5.734 O
5.910 7.844 1.950 O
6.412 1.145 5.536 O
6.413 6.185 6.635 O
7.113 5.464 4.363 O
7.289 3.559 2.637 O
```



Computed powder X-ray diffraction pattern of Li6NiPt for copper Kα, from a structure optimized by DFT (PBE).
Intensities are scaled so that the largest is 100.

Main lines, by intensity (2θ from 10° to 90°):
- 26.1 deg, I 100
- 25.9 deg, I 68
- 18.4 deg, I 39
- 45.9 deg, I 34
- 46.0 deg, I 34
- 26.2 deg, I 33
- 37.3 deg, I 31
- 18.3 deg, I 20
- 46.2 deg, I 17
- 41.7 deg, I 16

Structural model:
```
Li6NiPt
1.0
4.826 0.000 0.000
-0.019 4.826 0.000
-0.030 -0.029 4.858
Li Ni Pt
6 1 1
Cartesian
-0.006 -0.007 1.203 Li
4.783 4.805 3.655 Li
1.209 2.413 0.004 Li
2.394 1.181 2.434 Li
2.384 3.617 2.423 Li
3.568 2.385 4.854 Li
-0.024 2.399 2.429 Ni
2.413 0.000 0.000 Pt
```



Computed powder X-ray diffraction pattern of PrYTh for copper Kα, from a structure optimized by DFT (PBE).
Intensities are scaled so that the largest is 100.

Main lines, by intensity (2θ from 10° to 90°):
- 30.2 deg, I 100
- 35.0 deg, I 34
- 59.8 deg, I 29
- 50.4 deg, I 23
- 11.6 deg, I 18
- 35.1 deg, I 16
- 60.0 deg, I 13
- 50.3 deg, I 12
- 62.8 deg, I 12
- 82.0 deg, I 11

Structural model:
```
PrYTh
1.0
-1.815 1.815 7.659
1.815 -1.815 7.659
1.815 1.815 -7.659
Pr Y Th
1 1 1
Cartesian
0.000 0.000 0.000 Pr
0.000 0.000 4.864 Y
0.000 0.000 10.133 Th
```